Computed powder diffractogram
Compound: AcPmC3N6
Radiation: a wavelength of 1.5418 Å
Structure: a GGA-PBE-relaxed structure
Intensities are scaled so that the largest is 100.

```
AcPmC3N6
1.0
3.470 2.003 5.106
-3.470 2.003 5.106
0.000 -4.007 5.106
Ac Pm C N
1 1 3 6
Cartesian
0.000 0.000 0.000 Ac
0.000 0.000 9.816 Pm
-1.574 -1.786 7.393 C
-0.760 2.256 7.393 C
2.334 -0.470 7.393 C
-1.600 -1.260 8.508 N
-1.225 -1.485 11.387 N
-0.291 2.016 8.508 N
1.891 -0.756 8.508 N
-0.674 1.803 11.387 N
1.899 -0.318 11.387 N
```

Most intense lines, 2θ = 5–70°, sorted by position:
15.84°, I = 69
17.37°, I = 42
18.77°, I = 66
25.67°, I = 61
31.16°, I = 100
32.81°, I = 24
44.03°, I = 33
49.99°, I = 26